Entry 1:
Starting from a cell relaxed with GGA+U, the XRD peak list of Li2CrO3 was computed for copper Kα.
Peak positions follow from Bragg's law for the DFT cell and can differ from measured ones.

Cell and atoms:
```
Li2CrO3
1.0
2.5491 -4.3171 0.0000
2.5491 4.3171 0.0000
-1.8078 0.0000 4.8117
Li Cr O
4 2 6
Direct
0.0000 0.0000 0.0000
0.1594 0.8406 0.5000
0.5000 0.5000 0.5000
0.8406 0.1594 0.5000
0.3288 0.6712 0.0000
0.6712 0.3288 0.0000
0.0684 0.4314 0.2255
0.2823 0.2823 0.7735
0.4314 0.0684 0.2255
0.5686 0.9316 0.7745
0.7177 0.7177 0.2265
0.9316 0.5686 0.7745
```

Peak list (6 most intense, 15° ≤ 2θ ≤ 90°, low angle first)
| 2θ/deg | Rel. int. |
| --- | --- |
| 18.44 | 100 |
| 20.57 | 24 |
| 21.27 | 31 |
| 23.52 | 24 |
| 42.99 | 41 |
| 44.23 | 68 |

***

Entry 2:
Starting from a cell relaxed with GGA+U, the XRD peak list of Li2Cr2O7 was computed for copper Kα.
Peak positions follow from Bragg's law for the DFT cell and can differ from measured ones.

Cell and atoms:
```
Li2Cr2O7
1.0
6.5378 0.0000 0.0000
-2.3706 6.8237 0.0000
-0.0138 -3.4390 6.5095
Li Cr O
4 4 14
Direct
0.2021 0.4422 0.3284
0.2045 0.0726 0.8002
0.7955 0.9274 0.1998
0.7979 0.5578 0.6716
0.2837 0.0084 0.3276
0.2985 0.5985 0.8853
0.7015 0.4015 0.1147
0.7163 0.9916 0.6724
0.1223 0.0938 0.2338
0.1267 0.6190 0.7372
0.1498 0.8790 0.4496
0.1854 0.3798 0.9196
0.4033 0.8441 0.1272
0.4834 0.4142 0.2163
0.4941 0.2180 0.4865
0.5059 0.7820 0.5135
0.5166 0.5858 0.7837
0.5967 0.1559 0.8728
0.8146 0.6202 0.0804
0.8502 0.1210 0.5504
0.8733 0.3810 0.2628
0.8777 0.9062 0.7662
```

Peak list (6 most intense, 15° ≤ 2θ ≤ 90°, low angle first)
| 2θ/deg | Rel. int. |
| --- | --- |
| 18.41 | 100 |
| 22.77 | 87 |
| 24.08 | 47 |
| 24.35 | 74 |
| 28.79 | 50 |
| 33.35 | 41 |

***

Entry 3:
Starting from a cell relaxed with GGA+U, the XRD peak list of Li3CrO4 was computed for copper Kα.
Peak positions follow from Bragg's law for the DFT cell and can differ from measured ones.

Cell and atoms:
```
Li3CrO4
1.0
4.0965 -4.1065 0.0000
4.0965 4.1065 0.0000
-3.9066 0.0000 8.1785
Li Cr O
12 4 16
Direct
0.0608 0.8305 0.8758
0.0620 0.3186 0.8807
0.1695 0.9392 0.6242
0.1950 0.4405 0.6331
0.3186 0.0620 0.3807
0.4405 0.1950 0.1331
0.5595 0.8050 0.8669
0.6814 0.9380 0.6193
0.8050 0.5595 0.3669
0.8305 0.0608 0.3758
0.9380 0.6814 0.1193
0.9392 0.1695 0.1242
0.2845 0.5611 0.3765
0.4389 0.7155 0.1235
0.5611 0.2845 0.8765
0.7155 0.4389 0.6235
0.0789 0.3290 0.3672
0.0848 0.7954 0.3823
0.2046 0.9152 0.1177
0.2203 0.4599 0.1447
0.3290 0.0789 0.8672
0.3322 0.5560 0.8951
0.4440 0.6678 0.6049
0.4599 0.2203 0.6447
0.5401 0.7797 0.3553
0.5560 0.3322 0.3951
0.6678 0.4440 0.1049
0.6710 0.9211 0.1328
0.7797 0.5401 0.8553
0.7954 0.0848 0.8823
0.9152 0.2046 0.6177
0.9211 0.6710 0.6328
```

Peak list (6 most intense, 15° ≤ 2θ ≤ 90°, low angle first)
| 2θ/deg | Rel. int. |
| --- | --- |
| 16.13 | 100 |
| 22.19 | 77 |
| 24.25 | 50 |
| 44.11 | 53 |
| 44.27 | 98 |
| 64.27 | 47 |

***

Entry 4:
Starting from a cell relaxed with GGA+U, the XRD peak list of Li2Cr3O10 was computed for copper Kα.
Peak positions follow from Bragg's law for the DFT cell and can differ from measured ones.

Cell and atoms:
```
Li2Cr3O10
1.0
6.7970 0.0000 0.0000
0.0000 16.9181 0.0000
-5.0539 0.0000 7.2754
Li Cr O
8 12 40
Direct
0.0223 0.1053 0.3663
0.0223 0.3947 0.8663
0.4235 0.6723 0.9735
0.4235 0.8277 0.4735
0.5765 0.1723 0.5265
0.5765 0.3277 0.0265
0.9777 0.6053 0.1337
0.9777 0.8947 0.6337
0.0763 0.2267 0.0518
0.0763 0.2733 0.5518
0.2385 0.0894 0.8956
0.2385 0.4106 0.3956
0.4019 0.0020 0.2662
0.4019 0.4980 0.7662
0.5981 0.5020 0.2338
0.5981 0.9980 0.7338
0.7615 0.5894 0.6044
0.7615 0.9106 0.1044
0.9237 0.7267 0.4482
0.9237 0.7733 0.9482
0.0224 0.1492 0.8891
0.0224 0.3508 0.3891
0.0758 0.1892 0.2221
0.0758 0.3108 0.7221
0.1297 0.7048 0.0568
0.1297 0.7952 0.5568
0.1427 0.0650 0.6891
0.1427 0.4350 0.1891
0.1743 0.0300 0.2679
0.1743 0.4700 0.7679
0.3041 0.0038 0.0281
0.3041 0.4962 0.5281
0.3389 0.2376 0.6291
0.3389 0.2624 0.1291
0.3855 0.5672 0.1223
0.3855 0.9328 0.6223
0.4760 0.1425 0.9859
0.4760 0.3575 0.4859
0.4910 0.5862 0.8585
0.4910 0.9138 0.3585
0.5090 0.0862 0.6415
0.5090 0.4138 0.1415
0.5240 0.6425 0.5141
0.5240 0.8575 0.0141
0.6145 0.0672 0.3777
0.6145 0.4328 0.8777
0.6611 0.7376 0.8709
0.6611 0.7624 0.3709
0.6959 0.5038 0.4719
0.6959 0.9962 0.9719
0.8257 0.5300 0.2321
0.8257 0.9700 0.7321
0.8573 0.5650 0.8109
0.8573 0.9350 0.3109
0.8703 0.2048 0.4432
0.8703 0.2952 0.9432
0.9242 0.6892 0.2779
0.9242 0.8108 0.7779
0.9776 0.6492 0.6109
0.9776 0.8508 0.1109
```

Peak list (6 most intense, 15° ≤ 2θ ≤ 90°, low angle first)
| 2θ/deg | Rel. int. |
| --- | --- |
| 16.72 | 59 |
| 19.05 | 100 |
| 26.68 | 41 |
| 29.25 | 87 |
| 29.67 | 40 |
| 31.33 | 41 |

***

Entry 5:
Starting from a cell relaxed with GGA+U, the XRD peak list of Li2Cr4O13 was computed for copper Kα.
Peak positions follow from Bragg's law for the DFT cell and can differ from measured ones.

Cell and atoms:
```
Li2Cr4O13
1.0
6.8378 -3.4197 0.0000
6.8378 3.4197 0.0000
-4.5373 0.0000 13.3057
Li Cr O
4 8 26
Direct
0.2296 0.2344 0.0901
0.2344 0.2296 0.5901
0.7656 0.7704 0.4099
0.7704 0.7656 0.9099
0.2666 0.2744 0.3426
0.2744 0.2666 0.8426
0.3452 0.6331 0.1335
0.3669 0.6548 0.3665
0.6331 0.3452 0.6335
0.6548 0.3669 0.8665
0.7256 0.7334 0.1574
0.7334 0.7256 0.6574
0.0506 0.4513 0.3993
0.0566 0.4338 0.8991
0.1760 0.7909 0.0510
0.1964 0.2079 0.2240
0.2079 0.1964 0.7240
0.2091 0.8240 0.4490
0.2417 0.7583 0.2500
0.3758 0.3972 0.0998
0.3972 0.3758 0.5998
0.3974 0.4153 0.8509
0.4153 0.3974 0.3509
0.4338 0.0566 0.3991
0.4513 0.0506 0.8993
0.5487 0.9494 0.1007
0.5662 0.9434 0.6009
0.5847 0.6026 0.6491
0.6026 0.5847 0.1491
0.6028 0.6242 0.4002
0.6242 0.6028 0.9002
0.7583 0.2417 0.7500
0.7909 0.1760 0.5510
0.7921 0.8036 0.2760
0.8036 0.7921 0.7760
0.8240 0.2091 0.9490
0.9434 0.5662 0.1009
0.9494 0.5487 0.6007
```

Peak list (6 most intense, 15° ≤ 2θ ≤ 90°, low angle first)
| 2θ/deg | Rel. int. |
| --- | --- |
| 15.15 | 100 |
| 17.00 | 56 |
| 24.41 | 58 |
| 26.80 | 76 |
| 27.57 | 92 |
| 28.61 | 89 |

***

Entry 6:
Starting from a cell relaxed with GGA+U, the XRD peak list of Li6Cr2O7 was computed for copper Kα.
Peak positions follow from Bragg's law for the DFT cell and can differ from measured ones.

Cell and atoms:
```
Li6Cr2O7
1.0
5.0624 0.0000 0.0000
0.0000 5.8059 0.0000
-3.4491 0.0000 9.1736
Li Cr O
12 4 14
Direct
0.1916 0.0047 0.1307
0.1916 0.4953 0.6307
0.2294 0.7170 0.8627
0.2294 0.7830 0.3627
0.2364 0.2311 0.3679
0.2364 0.2689 0.8679
0.7636 0.7311 0.1321
0.7636 0.7689 0.6321
0.7706 0.2170 0.6373
0.7706 0.2830 0.1373
0.8084 0.5047 0.3693
0.8084 0.9953 0.8693
0.2599 0.5073 0.1328
0.2599 0.9927 0.6328
0.7401 0.0073 0.3672
0.7401 0.4927 0.8672
0.0157 0.2246 0.5061
0.0157 0.2754 0.0061
0.0545 0.5073 0.2539
0.0545 0.9927 0.7539
0.4845 0.7353 0.7371
0.4845 0.7647 0.2371
0.5000 0.0000 0.5000
0.5000 0.5000 0.0000
0.5155 0.2353 0.7629
0.5155 0.2647 0.2629
0.9455 0.0073 0.2461
0.9455 0.4927 0.7461
0.9843 0.7246 0.9939
0.9843 0.7754 0.4939
```

Peak list (6 most intense, 15° ≤ 2θ ≤ 90°, low angle first)
| 2θ/deg | Rel. int. |
| --- | --- |
| 18.08 | 100 |
| 21.71 | 53 |
| 23.52 | 25 |
| 28.55 | 40 |
| 44.26 | 31 |
| 44.68 | 60 |

***

Entry 7:
Starting from a cell relaxed with GGA+U, the XRD peak list of Li2CrP5O15 was computed for copper Kα.
Peak positions follow from Bragg's law for the DFT cell and can differ from measured ones.

Cell and atoms:
```
Li2CrP5O15
1.0
5.2693 0.0000 0.0000
0.0000 9.5906 0.0000
-4.2047 0.0000 12.4249
Li Cr P O
4 2 10 30
Direct
0.0000 0.1013 0.0000
0.0000 0.8987 0.5000
0.8807 0.1056 0.6314
0.8807 0.8944 0.1314
0.9548 0.4974 0.5720
0.9548 0.5026 0.0720
0.3673 0.3184 0.4864
0.3673 0.6816 0.9864
0.4191 0.0201 0.4268
0.4191 0.9799 0.9268
0.4621 0.0222 0.2065
0.4621 0.9778 0.7065
0.5398 0.3228 0.1561
0.5398 0.6772 0.6561
0.9587 0.4833 0.3219
0.9587 0.5167 0.8219
0.1820 0.0043 0.1321
0.1820 0.9957 0.6321
0.2180 0.3835 0.3683
0.2180 0.6165 0.8683
0.2191 0.0930 0.9113
0.2191 0.9070 0.4113
0.2327 0.3644 0.5663
0.2327 0.6356 0.0663
0.2451 0.3541 0.1305
0.2451 0.6459 0.6305
0.2965 0.1588 0.4664
0.2965 0.8412 0.9664
0.4389 0.0823 0.3167
0.4389 0.9177 0.8167
0.5907 0.1610 0.1697
0.5907 0.8390 0.6697
0.6602 0.0920 0.7209
0.6602 0.9080 0.2209
0.6659 0.3427 0.5162
0.6659 0.6573 0.0162
0.6733 0.3701 0.0761
0.6733 0.6299 0.5761
0.6994 0.0007 0.5006
0.6994 0.9993 0.0006
0.7058 0.3792 0.2755
0.7058 0.6208 0.7755
0.9179 0.4408 0.9163
0.9179 0.5592 0.4163
0.9961 0.4374 0.7285
0.9961 0.5626 0.2285
```

Peak list (6 most intense, 15° ≤ 2θ ≤ 90°, low angle first)
| 2θ/deg | Rel. int. |
| --- | --- |
| 18.50 | 59 |
| 20.05 | 100 |
| 23.16 | 25 |
| 28.56 | 34 |
| 30.24 | 33 |
| 33.28 | 36 |